Record 1
Calculated powder diffractogram
Compound: Dy6TePt2Se3
Radiation: a wavelength of 1.5418 Å
Structure: a structure optimized by DFT (PBE)
Kinematic intensities with the Lorentz-polarization factor, no thermal factor.

Cell: 9.417 9.417 8.497 Å, 105.38 105.38 24.94°
Fractional coordinates of all 12 atoms:
Dy (0.012, 0.012, 0.272)
Dy (0.323, 0.323, 0.876)
Dy (0.332, 0.332, 0.415)
Dy (0.668, 0.668, 0.585)
Dy (0.677, 0.677, 0.124)
Dy (0.988, 0.988, 0.728)
Te (0.500, 0.500, 0.000)
Pt (0.172, 0.172, 0.353)
Pt (0.828, 0.828, 0.647)
Se (0.159, 0.159, 0.849)
Se (0.500, 0.500, 0.500)
Se (0.841, 0.841, 0.151)

Top 8 peaks for 2θ = 15–90°, sorted by position:
Position (°2θ)	I/Imax
30.30	50
30.44	100
42.60	17
42.82	40
44.15	30
44.57	19
52.01	12
54.84	19



Record 2
Calculated powder diffractogram
Compound: DySiPt4
Radiation: a wavelength of 1.5418 Å
Structure: a structure optimized by DFT (PBE)
Kinematic intensities with the Lorentz-polarization factor, no thermal factor.

Cell: 7.663 3.885 6.903 Å, 90.00 90.00 90.00°
Fractional coordinates of all 12 atoms:
Dy (0.250, 0.000, 0.130)
Dy (0.750, 0.000, 0.870)
Si (0.250, 0.000, 0.712)
Si (0.750, 0.000, 0.288)
Pt (0.000, 0.000, 0.500)
Pt (0.059, 0.500, 0.808)
Pt (0.250, 0.500, 0.444)
Pt (0.441, 0.500, 0.808)
Pt (0.500, 0.000, 0.500)
Pt (0.559, 0.500, 0.192)
Pt (0.750, 0.500, 0.556)
Pt (0.941, 0.500, 0.192)

Top 8 peaks for 2θ = 15–90°, sorted by position:
Position (°2θ)	I/Imax
35.38	100
36.75	42
37.55	29
39.15	31
42.22	63
44.43	14
46.76	32
62.58	16



Record 3
Calculated powder diffractogram
Compound: Dy2Si3Pt3
Radiation: a wavelength of 1.5418 Å
Structure: a structure optimized by DFT (PBE)
Kinematic intensities with the Lorentz-polarization factor, no thermal factor.

Cell: 2.843 2.843 20.383 Å, 90.00 90.00 90.00°
Fractional coordinates of all 8 atoms:
Dy (0.000, 0.000, 0.247)
Dy (0.000, 0.000, 0.753)
Si (0.000, 0.000, 0.000)
Si (0.000, 0.000, 0.385)
Si (0.000, 0.000, 0.615)
Pt (0.000, 0.000, 0.113)
Pt (0.000, 0.000, 0.500)
Pt (0.000, 0.000, 0.887)

Top 8 peaks for 2θ = 15–90°, sorted by position:
Position (°2θ)	I/Imax
21.80	24
31.47	100
35.22	32
38.61	23
45.10	37
47.95	54
58.49	30
85.33	21